This entry pairs a crystal structure of CaLaMn2O6 with its computed X-ray powder pattern. Radiation: Cu Kα, 1.54184 Å. Structure: DFT lattice parameters and positions (GGA+U).
Neutral-atom scattering factors, no anomalous dispersion.

Structure:
```
CaLaMn2O6
1.0
7.716 0.000 0.000
0.000 5.529 0.000
0.000 0.000 5.485
Ca La Mn O
2 2 4 12
Direct
0.000 0.208 0.000
0.500 0.792 0.500
0.000 0.719 0.485
0.500 0.281 0.985
0.249 0.250 0.491
0.251 0.750 0.991
0.749 0.750 0.991
0.751 0.250 0.491
0.000 0.265 0.569
0.000 0.769 0.923
0.209 0.463 0.204
0.214 0.967 0.274
0.286 0.033 0.774
0.291 0.537 0.704
0.500 0.231 0.423
0.500 0.735 0.069
0.709 0.537 0.704
0.714 0.033 0.774
0.786 0.967 0.274
0.791 0.463 0.204
```

Peak list (10 most intense, 10° ≤ 2θ ≤ 90°, low angle first)
- (1 1 0), 19.75 deg, 4.494 Å, I 18
- (1 0 1), 19.86 deg, 4.471 Å, I 18
- (0 2 0), 32.38 deg, 2.765 Å, I 20
- (2 1 1), 32.67 deg, 2.741 Å, I 100
- (1 1 2), 38.45 deg, 2.341 Å, I 9
- (0 2 2), 46.65 deg, 1.947 Å, I 26
- (4 0 0), 47.12 deg, 1.929 Å, I 14
- (2 3 1), 57.95 deg, 1.591 Å, I 13
- (2 1 3), 58.30 deg, 1.583 Å, I 26
- (0 0 4), 68.46 deg, 1.371 Å, I 16